Diffraction record for LiMn4P3O12. The powder X-ray diffraction pattern is simulated, not measured: it uses DFT lattice parameters and positions (GGA+U) and Cu Kα (λ = 1.5418 Å).
Lines closer than 0.1° are merged.

Atomic structure:
```
data_LiMn4P3O12
_cell_length_a 9.6453
_cell_length_b 9.6463
_cell_length_c 10.9346
_cell_angle_alpha 90.00
_cell_angle_beta 116.17
_cell_angle_gamma 90.00
_symmetry_space_group_name_H-M 'C 1 c 1'
_symmetry_Int_Tables_number 9
_symmetry_space_group_name_Hall 'C -2yc'
loop_
_atom_site_label
_atom_site_fract_x
_atom_site_fract_y
_atom_site_fract_z
Li1 0.0000 0.1253 0.0000
Mn1 0.1181 0.3819 0.2497
Mn2 0.1320 0.1318 0.7498
Mn3 0.2320 0.3750 0.9632
Mn4 0.2682 0.1249 0.5362
P1 0.0001 0.3751 0.4997
P2 0.3271 0.1729 0.2497
P3 0.4230 0.4230 0.7497
O1 0.0726 0.0217 0.3753
O2 0.0810 0.4411 0.4182
O3 0.1070 0.2534 0.5812
O4 0.2089 0.2597 0.1241
O5 0.2755 0.0208 0.2108
O6 0.2903 0.4549 0.7885
O7 0.3034 0.2285 0.3755
O8 0.3377 0.1911 0.9181
O9 0.4157 0.4902 0.1240
O10 0.4357 0.2709 0.7106
O11 0.4746 0.0034 0.0812
O12 0.4989 0.2051 0.2887
```

Principal peaks in the range 10 to 90 degrees two-theta, in order of rising 2θ:
index, Position (°2θ), I_rel
2 0 0, 20.52, 19
1 1 2, 26.19, 16
1 3 -1, 29.64, 18
2 2 1, 31.96, 100
0 0 4, 36.63, 9
2 4 0, 42.93, 16
4 2 1, 50.70, 11
4 0 2, 53.26, 19
4 4 -2, 53.77, 19
2 6 1, 63.92, 12